Calculated powder diffractogram
Compound: CaAc4In3
Radiation: Cu Kα (weighted mean of Kα1 and Kα2)
Structure: DFT lattice parameters and positions (GGA-PBE)

The 8 most intense peaks (2θ from 15° to 90°), by angle:
hkl  2θ (°)  I (rel.)
2 0 -2  21.3  32
1 1 -3  30.1  81
0 2 0  30.5  100
3 1 2  41.5  15
4 0 -4  43.4  30
4 2 -4  54.0  32
6 0 -2  54.2  20
0 4 0  63.5  12

Cell and atoms:
Cell lengths 10.1616, 5.8610, 10.3224 Å; angles 90.00, 109.27, 90.00 degrees
Space group C2/m (No. 12)
Symmetry-distinct sites (fractional):
Ca  0.0000  0.0000  0.0000 x2
Ac  0.1142  0.5000  0.8435 x4
Ac  0.1335  0.0000  0.3997 x4
In  0.0000  0.5000  0.5000 x2
In  0.2377  0.5000  0.2122 x4